The following is a simulated powder XRD pattern of TbAgSn. It was derived from a crystal structure in the Materials Project, relaxed with PBE, using a wavelength of 1.5418 Å.

Peak list (8 most intense, 10° ≤ 2θ ≤ 90°, in order of rising 2θ)
h k l  2θ (°)  d [Å]  I_rel
1 0 1  33.17  2.701  100
1 1 0  37.26  2.413  74
2 0 1  50.73  1.800  30
2 1 1  64.60  1.443  29
1 1 2  65.40  1.427  28
3 0 0  67.18  1.393  13
3 1 1  88.81  1.102  13
3 0 2  89.54  1.095  13

Crystal structure
Cell: 4.8269 4.8269 3.5386 Å, 90.00 90.00 120.00°
Space group P-6m2 (No. 187)
Asymmetric unit:
Tb  0.0000  0.0000  0.0000
Ag  0.3333  0.6667  0.5000
Sn  0.6667  0.3333  0.5000

The following is a simulated powder XRD pattern of TbAgSn. It was derived from a crystal structure in the Materials Project, relaxed with PBE, using a wavelength of 1.5418 Å.

Peak list (8 most intense, 10° ≤ 2θ ≤ 90°, in order of rising 2θ)
h k l  2θ (°)  d [Å]  I_rel
1 0 2  32.44  2.760  100
1 1 0  37.87  2.376  78
1 0 3  42.56  2.124  17
2 0 2  50.70  1.801  29
1 1 4  63.52  1.465  14
2 1 2  64.99  1.435  27
3 0 0  68.39  1.372  14
3 1 2  89.90  1.091  12

Crystal structure
Cell: 4.7520 4.7520 7.4406 Å, 90.00 90.00 120.00°
Space group P6_3mc (No. 186)
Asymmetric unit:
Tb  0.0000  0.0000  0.0000
Ag  0.3333  0.6667  0.1881
Sn  0.3333  0.6667  0.7798

The following is a simulated powder XRD pattern of TbAgSn. It was derived from a crystal structure in the Materials Project, relaxed with PBE, using a wavelength of 1.5418 Å.

Peak list (8 most intense, 10° ≤ 2θ ≤ 90°, in order of rising 2θ)
h k l  2θ (°)  d [Å]  I_rel
1 0 1  33.91  2.643  95
1 1 0  34.97  2.566  100
2 0 1  49.51  1.841  33
2 1 1  62.05  1.496  34
3 0 0  62.72  1.481  18
1 1 2  67.69  1.384  29
3 1 1  83.82  1.154  15
3 0 2  88.94  1.101  15

Crystal structure
Cell: 5.1316 5.1316 3.2880 Å, 90.00 90.00 120.00°
Space group P-6m2 (No. 187)
Asymmetric unit:
Tb  0.0000  0.0000  0.0000
Ag  0.6667  0.3333  0.0000
Sn  0.3333  0.6667  0.5000

The following is a simulated powder XRD pattern of TmAgSn. It was derived from a crystal structure in the Materials Project, relaxed with PBE, using a wavelength of 1.5418 Å.

Peak list (8 most intense, 10° ≤ 2θ ≤ 90°, in order of rising 2θ)
h k l  2θ (°)  d [Å]  I_rel
1 0 1  24.96  3.568  11
1 0 2  32.82  2.729  100
1 1 0  38.17  2.358  78
1 0 3  43.12  2.098  17
2 0 2  51.21  1.784  29
1 1 4  64.36  1.447  13
2 1 2  65.63  1.423  27
3 0 0  69.00  1.361  14

Crystal structure
Cell: 4.7151 4.7151 7.3353 Å, 90.00 90.00 120.00°
Space group P6_3mc (No. 186)
Asymmetric unit:
Tm  0.0000  0.0000  0.0000
Ag  0.3333  0.6667  0.1831
Sn  0.3333  0.6667  0.7786

The following is a simulated powder XRD pattern of TmAgSn. It was derived from a crystal structure in the Materials Project, relaxed with PBE, using a wavelength of 1.5418 Å.

Peak list (8 most intense, 10° ≤ 2θ ≤ 90°, in order of rising 2θ)
h k l  2θ (°)  d [Å]  I_rel
1 1 1  31.47  2.842  67
2 0 1  34.55  2.596  100
2 1 0  37.33  2.409  36
0 0 2  40.30  2.238  29
3 0 0  42.59  2.123  30
3 1 1  55.93  1.644  16
2 1 2  56.09  1.640  22
3 2 1  67.37  1.390  25

Crystal structure
Cell: 7.3587 7.3587 4.4763 Å, 90.00 90.00 120.00°
Space group P-62m (No. 189)
Asymmetric unit:
Tm  0.0000  0.5693  0.0000
Ag  0.0000  0.2468  0.5000
Sn  0.0000  0.0000  0.0000
Sn  0.3333  0.6667  0.5000

The following is a simulated powder XRD pattern of YAgSn. It was derived from a crystal structure in the Materials Project, relaxed with PBE, using a wavelength of 1.5418 Å.

Peak list (8 most intense, 10° ≤ 2θ ≤ 90°, in order of rising 2θ)
h k l  2θ (°)  d [Å]  I_rel
1 0 1  24.74  3.598  19
1 0 2  32.47  2.758  100
1 1 0  37.90  2.374  97
1 0 3  42.59  2.123  32
2 0 2  50.74  1.799  28
2 1 2  65.04  1.434  26
1 0 5  66.91  1.398  14
3 0 0  68.45  1.371  17

Crystal structure
Cell: 4.7482 4.7482 7.4356 Å, 90.00 90.00 120.00°
Space group P6_3mc (No. 186)
Asymmetric unit:
Y  0.0000  0.0000  0.0000
Ag  0.3333  0.6667  0.1887
Sn  0.3333  0.6667  0.7802

The following is a simulated powder XRD pattern of TbAg2. It was derived from a crystal structure in the Materials Project, relaxed with PBE, using a wavelength of 1.5418 Å.

Peak list (8 most intense, 10° ≤ 2θ ≤ 90°, in order of rising 2θ)
h k l  2θ (°)  d [Å]  I_rel
1 1 0  33.54  2.672  69
1 0 3  37.62  2.391  100
2 0 0  48.17  1.889  24
0 0 6  59.91  1.544  6
2 1 3  62.67  1.482  43
2 2 0  70.45  1.336  23
3 1 0  80.33  1.195  21
3 0 3  82.76  1.166  10

Crystal structure
Cell: 3.779 3.779 9.264 Å, 90.00 90.00 90.00°
Space group I4/mmm (No. 139)
Asymmetric unit:
Tb  0.000  0.000  0.000
Ag  0.000  0.000  0.331

The following is a simulated powder XRD pattern of TbAgTe2. It was derived from a crystal structure in the Materials Project, relaxed with PBE, using a wavelength of 1.5418 Å.

Peak list (8 most intense, 10° ≤ 2θ ≤ 90°, in order of rising 2θ)
h k l  2θ (°)  d [Å]  I_rel
1 1 1  25.74  3.461  100
2 1 0  27.97  3.190  28
2 0 1  31.35  2.854  57
2 1 1  33.83  2.649  82
2 2 0  35.60  2.522  79
1 1 2  42.00  2.151  38
3 0 1  42.50  2.127  57
1 1 3  61.29  1.512  31

Crystal structure
Cell: 7.133 7.133 4.757 Å, 90.00 90.00 90.00°
Space group P-42_1m (No. 113)
Asymmetric unit:
Tb  0.000  0.500  0.191
Ag  0.000  0.000  0.000
Te  0.202  0.298  0.710

The following is a simulated powder XRD pattern of Tb2ZnAg. It was derived from a crystal structure in the Materials Project, relaxed with PBE, using a wavelength of 1.5418 Å.

Peak list (8 most intense, 10° ≤ 2θ ≤ 90°, in order of rising 2θ)
h k l  2θ (°)  d [Å]  I_rel
1 0 0  24.56  3.624  8
1 1 0  35.02  2.563  100
1 1 2  43.24  2.092  3
2 0 0  50.36  1.812  18
2 1 0  56.80  1.621  4
2 1 2  62.81  1.480  35
2 2 0  73.98  1.281  11
3 1 0  84.55  1.146  15

Crystal structure
Cell: 3.625 3.625 7.245 Å, 90.00 90.00 90.00°
Space group P4/mmm (No. 123)
Asymmetric unit:
Tb  0.000  0.000  0.241
Zn  0.500  0.500  0.000
Ag  0.500  0.500  0.500

The following is a simulated powder XRD pattern of TcAg3. It was derived from a crystal structure in the Materials Project, relaxed with PBE, using a wavelength of 1.5418 Å.

Peak list (7 most intense, 10° ≤ 2θ ≤ 90°, in order of rising 2θ)
h k l  2θ (°)  d [Å]  I_rel
1 1 2  37.83  2.378  100
2 0 0  42.47  2.129  36
0 0 4  46.83  1.940  13
2 2 0  61.62  1.505  11
2 0 4  65.05  1.434  19
3 1 2  74.62  1.272  25
2 2 4  80.86  1.189  20

Crystal structure
Cell: 4.257 4.257 7.760 Å, 90.00 90.00 90.00°
Space group I4/mmm (No. 139)
Asymmetric unit:
Tc  0.000  0.000  0.000
Ag  0.000  0.000  0.500
Ag  0.000  0.500  0.250

The following is a simulated powder XRD pattern of Tm2TcAg. It was derived from a crystal structure in the Materials Project, relaxed with PBE, using a wavelength of 1.5418 Å.

Peak list (8 most intense, 10° ≤ 2θ ≤ 90°, in order of rising 2θ)
h k l  2θ (°)  d [Å]  I_rel
2 0 0  25.66  3.472  6
2 2 0  36.60  2.455  100
2 2 2  45.23  2.005  2
4 0 0  52.72  1.736  17
4 2 0  59.53  1.553  3
4 2 2  65.89  1.418  35
4 4 0  77.80  1.228  11
6 2 0  89.19  1.098  16

Crystal structure
Cell: 6.945 6.945 6.945 Å, 90.00 90.00 90.00°
Space group Fm-3m (No. 225)
Asymmetric unit:
Tm  0.250  0.250  0.250
Tc  0.000  0.000  0.000
Ag  0.000  0.000  0.500

The following is a simulated powder XRD pattern of Ag2Te. It was derived from a crystal structure in the Materials Project, relaxed with PBE, using a wavelength of 1.5418 Å.

Peak list (8 most intense, 10° ≤ 2θ ≤ 90°, in order of rising 2θ)
h k l  2θ (°)  d [Å]  I_rel
0 2 1  26.29  3.390  80
1 1 2  31.54  2.836  100
0 2 2  33.29  2.691  26
2 0 0  35.34  2.540  76
1 1 3  41.31  2.185  99
1 3 1  41.71  2.165  97
2 2 1  44.58  2.033  37
2 4 4  80.83  1.189  26

Crystal structure
Cell: 5.079 7.560 7.667 Å, 90.00 90.00 90.00°
Space group Cmce (No. 64)
Asymmetric unit:
Ag  0.000  0.143  0.142
Te  0.000  0.000  0.500